Entry 1:
Structure and theoretical powder diffraction line list of Na3GdC3O9 (a cell relaxed with PBE; Cu Kα (weighted mean of Kα1 and Kα2)).

Crystal structure
Cell: 10.029 6.612 6.612 Å, 113.80 90.00 90.00°
Fractional positions:
Na  0.000  0.000  0.000
Na  0.250  0.700  0.660
Na  0.250  0.864  0.270
Na  0.500  0.000  0.000
Na  0.750  0.270  0.864
Na  0.750  0.660  0.700
Gd  0.250  0.297  0.840
Gd  0.750  0.840  0.297
C  0.002  0.536  0.947
C  0.250  0.311  0.284
C  0.498  0.536  0.947
C  0.502  0.947  0.536
C  0.750  0.284  0.311
C  0.998  0.947  0.536
O  0.013  0.347  0.957
O  0.109  0.626  0.908
O  0.113  0.969  0.634
O  0.250  0.125  0.103
O  0.250  0.306  0.477
O  0.250  0.494  0.257
O  0.387  0.969  0.634
O  0.391  0.626  0.908
O  0.487  0.347  0.957
O  0.513  0.957  0.347
O  0.609  0.908  0.626
O  0.613  0.634  0.969
O  0.750  0.103  0.125
O  0.750  0.257  0.494
O  0.750  0.477  0.306
O  0.887  0.634  0.969
O  0.891  0.908  0.626
O  0.987  0.957  0.347

Most intense lines, 2θ = 10–80°, in order of falling intensity:
two_theta, I (rel.)
17.12, 100
34.63, 40
16.00, 39
17.69, 39
30.53, 35
28.57, 25
35.81, 17
45.01, 17


Entry 2:
Structure and theoretical powder diffraction line list of NbTcRh6 (a cell relaxed with PBE; Cu Kα (weighted mean of Kα1 and Kα2)).

Crystal structure
Cell: 5.164 5.164 5.164 Å, 86.33 86.33 86.33°
Fractional positions:
Nb  0.000  0.000  0.000
Tc  0.500  0.500  0.500
Rh  0.045  0.663  0.663
Rh  0.337  0.337  0.955
Rh  0.337  0.955  0.337
Rh  0.663  0.045  0.663
Rh  0.663  0.663  0.045
Rh  0.955  0.337  0.337

Most intense lines, 2θ = 10–80°, in order of falling intensity:
two_theta, I (rel.)
43.53, 100
30.70, 64
40.13, 56
40.76, 41
28.18, 41
53.44, 34
51.76, 22
55.46, 21


Entry 3:
Structure and theoretical powder diffraction line list of CsSrHg6 (a cell relaxed with PBE; Cu Kα (weighted mean of Kα1 and Kα2)).

Crystal structure
Cell: 5.447 7.607 6.345 Å, 90.00 90.00 90.00°
Fractional positions:
Cs  0.000  0.000  0.000
Sr  0.500  0.500  0.267
Hg  0.000  0.282  0.483
Hg  0.000  0.500  0.949
Hg  0.000  0.718  0.483
Hg  0.500  0.000  0.434
Hg  0.500  0.294  0.779
Hg  0.500  0.706  0.779

Most intense lines, 2θ = 10–80°, in order of falling intensity:
two_theta, I (rel.)
31.98, 100
32.66, 39
32.88, 38
58.15, 22
27.34, 21
34.78, 15
13.96, 13
43.27, 12


Entry 4:
Structure and theoretical powder diffraction line list of Nb5V5Si6 (a cell relaxed with PBE; Cu Kα (weighted mean of Kα1 and Kα2)).

Crystal structure
Cell: 4.983 7.333 7.333 Å, 118.93 90.00 90.00°
Fractional positions:
Nb  0.000  0.000  0.000
Nb  0.000  0.518  0.748
Nb  0.000  0.748  0.518
Nb  0.500  0.001  0.754
Nb  0.500  0.754  0.001
V  0.252  0.083  0.419
V  0.252  0.419  0.083
V  0.500  0.489  0.489
V  0.748  0.083  0.419
V  0.748  0.419  0.083
Si  0.000  0.158  0.751
Si  0.000  0.347  0.347
Si  0.000  0.751  0.158
Si  0.500  0.158  0.158
Si  0.500  0.355  0.746
Si  0.500  0.746  0.355

Most intense lines, 2θ = 10–80°, in order of falling intensity:
two_theta, I (rel.)
41.64, 100
41.24, 95
41.89, 94
43.94, 85
38.80, 61
42.25, 50
36.05, 47
29.95, 46